The following is a theoretical PXRD pattern of PaSb3Ru. It was derived from DFT lattice parameters and positions (GGA-PBE), using Cu Kα X-rays.
Intensities are scaled so that the largest is 100.

The 10 most intense peaks (10° ≤ 2θ ≤ 80°), by intensity:
| 2theta | Rel. int. |
| --- | --- |
| 34.83 | 100 |
| 36.89 | 98 |
| 31.50 | 84 |
| 36.66 | 81 |
| 30.51 | 60 |
| 10.58 | 54 |
| 37.48 | 50 |
| 35.67 | 49 |
| 27.48 | 49 |
| 52.09 | 39 |

Cell: 5.8602 5.1510 8.3624 Å, 90.00 90.00 90.00°
Atoms (fractional coordinates):
Pa (0.2500, 0.0000, 0.1524)
Pa (0.7500, 0.0000, 0.8476)
Sb (0.0000, 0.5000, 0.0000)
Sb (0.2500, 0.0000, 0.7486)
Sb (0.2500, 0.5000, 0.3891)
Sb (0.5000, 0.5000, 0.0000)
Sb (0.7500, 0.0000, 0.2514)
Sb (0.7500, 0.5000, 0.6109)
Ru (0.2500, 0.5000, 0.7054)
Ru (0.7500, 0.5000, 0.2946)

The following is a theoretical PXRD pattern of Dy7Bi2Os2. It was derived from DFT lattice parameters and positions (GGA-PBE), using Cu Kα X-rays.
Intensities are scaled so that the largest is 100.

The 10 most intense peaks (10° ≤ 2θ ≤ 80°), by intensity:
| 2theta | Rel. int. |
| --- | --- |
| 36.19 | 100 |
| 23.51 | 53 |
| 34.35 | 43 |
| 20.89 | 34 |
| 42.04 | 29 |
| 40.83 | 29 |
| 37.04 | 24 |
| 27.70 | 23 |
| 54.40 | 19 |
| 55.55 | 18 |

Cell: 6.8401 6.8401 7.3295 Å, 90.00 90.00 99.52°
Atoms (fractional coordinates):
Dy (0.0000, 0.0000, 0.0000)
Dy (0.0000, 0.5000, 0.2331)
Dy (0.0000, 0.5000, 0.7669)
Dy (0.5000, 0.0000, 0.2331)
Dy (0.5000, 0.0000, 0.7669)
Dy (0.5000, 0.5000, 0.2231)
Dy (0.5000, 0.5000, 0.7769)
Bi (0.2096, 0.2096, 0.5000)
Bi (0.7904, 0.7904, 0.5000)
Os (0.2779, 0.7221, 0.0000)
Os (0.7221, 0.2779, 0.0000)

The following is a theoretical PXRD pattern of Dy2Zn12Au7. It was derived from DFT lattice parameters and positions (GGA-PBE), using Cu Kα X-rays.
Intensities are scaled so that the largest is 100.

The 10 most intense peaks (10° ≤ 2θ ≤ 80°), by intensity:
| 2theta | Rel. int. |
| --- | --- |
| 34.16 | 100 |
| 45.76 | 57 |
| 25.95 | 54 |
| 42.17 | 48 |
| 29.46 | 38 |
| 36.99 | 29 |
| 65.74 | 27 |
| 49.08 | 24 |
| 44.49 | 24 |
| 27.73 | 17 |

Cell: 10.4909 10.4909 4.0724 Å, 90.00 90.00 120.00°
Atoms (fractional coordinates):
Dy (0.3333, 0.6667, 0.2485)
Dy (0.6667, 0.3333, 0.7515)
Zn (0.0391, 0.4309, 0.7503)
Zn (0.1095, 0.2645, 0.2426)
Zn (0.1550, 0.8905, 0.2426)
Zn (0.2645, 0.1550, 0.7574)
Zn (0.3918, 0.9609, 0.7503)
Zn (0.4309, 0.3918, 0.2497)
Zn (0.5691, 0.6082, 0.7503)
Zn (0.6082, 0.0391, 0.2497)
Zn (0.7355, 0.8450, 0.2426)
Zn (0.8450, 0.1095, 0.7574)
Zn (0.8905, 0.7355, 0.7574)
Zn (0.9609, 0.5691, 0.2497)
Au (0.0000, 0.0000, 0.5000)
Au (0.1395, 0.7164, 0.7491)
Au (0.2836, 0.4231, 0.7491)
Au (0.4231, 0.1395, 0.2509)
Au (0.5769, 0.8605, 0.7491)
Au (0.7164, 0.5769, 0.2509)
Au (0.8605, 0.2836, 0.2509)

The following is a theoretical PXRD pattern of Y5Sb4Se. It was derived from DFT lattice parameters and positions (GGA-PBE), using Cu Kα X-rays.
Intensities are scaled so that the largest is 100.

The 10 most intense peaks (10° ≤ 2θ ≤ 80°), by intensity:
| 2theta | Rel. int. |
| --- | --- |
| 29.12 | 100 |
| 41.66 | 74 |
| 68.39 | 27 |
| 51.63 | 26 |
| 75.99 | 16 |
| 76.10 | 8 |
| 60.42 | 8 |
| 68.51 | 5 |
| 60.29 | 4 |
| 25.15 | 2 |

Cell: 11.4747 11.4747 11.4747 Å, 158.25 148.96 38.22°
Atoms (fractional coordinates):
Y (0.0000, 0.0000, 0.0000)
Y (0.2010, 0.2010, 0.0000)
Y (0.4033, 0.4033, 0.0000)
Y (0.5967, 0.5967, 0.0000)
Y (0.7990, 0.7990, 0.0000)
Sb (0.0993, 0.5993, 0.5000)
Sb (0.3028, 0.8028, 0.5000)
Sb (0.6972, 0.1972, 0.5000)
Sb (0.9007, 0.4007, 0.5000)
Se (0.5000, 0.0000, 0.5000)

Copy entry 3 word for word.
The following is a theoretical PXRD pattern of Dy2Zn12Au7. It was derived from DFT lattice parameters and positions (GGA-PBE), using Cu Kα X-rays.
Intensities are scaled so that the largest is 100.

The 10 most intense peaks (10° ≤ 2θ ≤ 80°), by intensity:
| 2theta | Rel. int. |
| --- | --- |
| 34.16 | 100 |
| 45.76 | 57 |
| 25.95 | 54 |
| 42.17 | 48 |
| 29.46 | 38 |
| 36.99 | 29 |
| 65.74 | 27 |
| 49.08 | 24 |
| 44.49 | 24 |
| 27.73 | 17 |

Cell: 10.4909 10.4909 4.0724 Å, 90.00 90.00 120.00°
Atoms (fractional coordinates):
Dy (0.3333, 0.6667, 0.2485)
Dy (0.6667, 0.3333, 0.7515)
Zn (0.0391, 0.4309, 0.7503)
Zn (0.1095, 0.2645, 0.2426)
Zn (0.1550, 0.8905, 0.2426)
Zn (0.2645, 0.1550, 0.7574)
Zn (0.3918, 0.9609, 0.7503)
Zn (0.4309, 0.3918, 0.2497)
Zn (0.5691, 0.6082, 0.7503)
Zn (0.6082, 0.0391, 0.2497)
Zn (0.7355, 0.8450, 0.2426)
Zn (0.8450, 0.1095, 0.7574)
Zn (0.8905, 0.7355, 0.7574)
Zn (0.9609, 0.5691, 0.2497)
Au (0.0000, 0.0000, 0.5000)
Au (0.1395, 0.7164, 0.7491)
Au (0.2836, 0.4231, 0.7491)
Au (0.4231, 0.1395, 0.2509)
Au (0.5769, 0.8605, 0.7491)
Au (0.7164, 0.5769, 0.2509)
Au (0.8605, 0.2836, 0.2509)